Simulated powder XRD pattern
Compound: Li2VH2OF5
Radiation: copper Kα
Structure: a structure optimized by DFT (GGA+U)

Top 10 peaks for 2θ = 15–90°, sorted by position:
d/Å  two_theta  I (rel.)
4.772  18.59  76
4.469  19.86  100
4.288  20.71  81
3.166  28.19  57
3.155  28.29  36
2.914  30.68  72
2.115  42.75  46
2.002  45.31  27
1.857  49.05  24
1.759  52.00  23

Atomic structure:
```
22
Lattice="4.788 -3.166 0.000 4.788 3.166 0.000 -0.636 0.000 7.832" Properties=species:S:1:pos:R:3 pbc="T T T"
Li 2.204 0.063 0.020
Li 1.887 -0.063 3.936
Li 7.054 0.063 3.895
Li 6.736 -0.063 7.811
V 4.311 1.447 5.874
V 4.629 -1.447 1.958
H 4.240 1.117 2.670
H 5.018 1.117 1.245
H 3.922 -1.117 6.586
H 4.700 -1.117 5.161
O 4.629 0.547 1.958
O 4.311 -0.547 5.874
F 4.629 3.006 1.958
F 2.554 1.447 6.823
F 3.338 1.438 4.119
F 5.285 1.438 7.628
F 6.069 1.447 4.924
F 2.872 -1.447 2.907
F 3.655 -1.438 0.203
F 5.603 -1.438 3.712
F 6.386 -1.447 1.008
F 4.311 -3.006 5.874
```